Structure and simulated X-ray diffraction stick pattern of Pr2Nd2Br5N (the PBE geometry in OQMD; CuKα).
Peak positions follow from Bragg's law for the DFT cell and can differ from measured ones.

Structural model:
```
Pr2Nd2Br5N
1.0
9.100 -1.945 0.000
9.100 1.945 0.000
-2.011 0.000 8.129
Pr Nd Br N
2 2 5 1
direct
0.140 0.140 0.075
0.860 0.860 0.925
0.499 0.499 0.203
0.501 0.501 0.797
0.000 0.000 0.500
0.330 0.330 0.178
0.336 0.336 0.649
0.664 0.664 0.351
0.670 0.670 0.822
0.000 0.000 0.000
```

Peak list (8 most intense, 2θ = 10–80°, in order of rising 2θ)
| two_theta | I (rel.) |
| --- | --- |
| 10.0 | 22 |
| 10.9 | 40 |
| 30.4 | 46 |
| 31.0 | 24 |
| 31.4 | 100 |
| 44.1 | 27 |
| 44.4 | 29 |
| 46.7 | 18 |


Structure and simulated X-ray diffraction stick pattern of Nd6S4BrN3 (the PBE geometry in OQMD; CuKα).
Peak positions follow from Bragg's law for the DFT cell and can differ from measured ones.

Structural model:
```
Nd6S4BrN3
1.0
11.480 0.000 0.000
0.000 4.021 0.000
0.000 0.000 27.306
Nd S Br N
24 16 4 12
direct
0.058 0.250 0.078
0.063 0.250 0.807
0.100 0.250 0.535
0.124 0.250 0.283
0.243 0.750 0.171
0.249 0.750 0.436
0.251 0.250 0.936
0.257 0.250 0.671
0.376 0.750 0.783
0.400 0.750 0.035
0.437 0.750 0.307
0.442 0.750 0.578
0.558 0.250 0.422
0.563 0.250 0.693
0.600 0.250 0.965
0.624 0.250 0.217
0.743 0.750 0.329
0.749 0.750 0.064
0.751 0.250 0.564
0.757 0.250 0.829
0.876 0.750 0.717
0.900 0.750 0.465
0.937 0.750 0.193
0.942 0.750 0.922
0.137 0.750 0.735
0.142 0.750 0.994
0.192 0.750 0.862
0.207 0.750 0.602
0.293 0.250 0.102
0.308 0.250 0.362
0.358 0.250 0.494
0.363 0.250 0.235
0.637 0.750 0.765
0.642 0.750 0.506
0.692 0.750 0.638
0.707 0.750 0.898
0.793 0.250 0.398
0.808 0.250 0.138
0.858 0.250 0.006
0.863 0.250 0.265
0.038 0.750 0.363
0.462 0.250 0.863
0.538 0.750 0.137
0.962 0.250 0.637
0.060 0.750 0.125
0.099 0.750 0.486
0.112 0.750 0.238
0.388 0.250 0.738
0.401 0.250 0.986
0.440 0.250 0.625
0.560 0.750 0.375
0.599 0.750 0.014
0.612 0.750 0.262
0.888 0.250 0.762
0.901 0.250 0.514
0.940 0.250 0.875
```

Peak list (8 most intense, 2θ = 10–80°, in order of rising 2θ)
| two_theta | I (rel.) |
| --- | --- |
| 26.7 | 100 |
| 26.9 | 71 |
| 28.6 | 31 |
| 32.0 | 36 |
| 32.8 | 20 |
| 33.8 | 36 |
| 45.1 | 31 |
| 53.2 | 39 |


Structure and simulated X-ray diffraction stick pattern of Zn4PBr2N (the PBE geometry in OQMD; CuKα).
Peak positions follow from Bragg's law for the DFT cell and can differ from measured ones.

Structural model:
```
Zn4PBr2N
1.0
-2.804 2.804 5.359
2.804 -2.804 5.359
2.804 2.804 -5.359
Zn P Br N
4 1 2 1
direct
0.088 0.218 0.576
0.488 0.912 0.130
0.642 0.512 0.424
0.782 0.358 0.870
0.500 0.500 0.000
0.000 0.000 0.000
0.250 0.750 0.500
0.750 0.250 0.500
```

Peak list (8 most intense, 2θ = 10–80°, in order of rising 2θ)
| two_theta | I (rel.) |
| --- | --- |
| 28.0 | 100 |
| 29.6 | 24 |
| 36.8 | 47 |
| 44.1 | 14 |
| 46.9 | 35 |
| 54.5 | 13 |
| 56.5 | 15 |
| 75.5 | 14 |


Structure and simulated X-ray diffraction stick pattern of Pr6S4BrN3 (the PBE geometry in OQMD; CuKα).
Peak positions follow from Bragg's law for the DFT cell and can differ from measured ones.

Structural model:
```
Pr6S4BrN3
1.0
11.553 0.000 0.000
0.000 4.060 0.000
0.000 0.000 27.521
Pr S Br N
24 16 4 12
direct
0.058 0.250 0.078
0.062 0.250 0.807
0.100 0.250 0.536
0.126 0.250 0.283
0.246 0.750 0.171
0.249 0.750 0.436
0.251 0.250 0.936
0.254 0.250 0.671
0.374 0.750 0.783
0.400 0.750 0.036
0.438 0.750 0.307
0.442 0.750 0.578
0.558 0.250 0.422
0.562 0.250 0.693
0.600 0.250 0.964
0.626 0.250 0.217
0.746 0.750 0.329
0.749 0.750 0.064
0.751 0.250 0.564
0.754 0.250 0.829
0.874 0.750 0.717
0.900 0.750 0.464
0.938 0.750 0.193
0.942 0.750 0.922
0.135 0.750 0.736
0.143 0.750 0.994
0.190 0.750 0.862
0.206 0.750 0.602
0.294 0.250 0.102
0.310 0.250 0.362
0.357 0.250 0.494
0.365 0.250 0.236
0.635 0.750 0.764
0.643 0.750 0.506
0.690 0.750 0.638
0.706 0.750 0.898
0.794 0.250 0.398
0.810 0.250 0.138
0.857 0.250 0.006
0.865 0.250 0.264
0.039 0.750 0.363
0.461 0.250 0.863
0.539 0.750 0.137
0.961 0.250 0.637
0.062 0.750 0.125
0.099 0.750 0.486
0.114 0.750 0.238
0.386 0.250 0.738
0.401 0.250 0.986
0.438 0.250 0.625
0.562 0.750 0.375
0.599 0.750 0.014
0.614 0.750 0.262
0.886 0.250 0.762
0.901 0.250 0.514
0.938 0.250 0.875
```

Peak list (8 most intense, 2θ = 10–80°, in order of rising 2θ)
| two_theta | I (rel.) |
| --- | --- |
| 26.5 | 100 |
| 26.6 | 71 |
| 28.4 | 32 |
| 31.7 | 37 |
| 32.5 | 21 |
| 33.5 | 36 |
| 44.6 | 32 |
| 52.7 | 31 |


Structure and simulated X-ray diffraction stick pattern of TbPuBr3N (the PBE geometry in OQMD; CuKα).
Peak positions follow from Bragg's law for the DFT cell and can differ from measured ones.

Structural model:
```
TbPuBr3N
1.0
9.055 -1.940 0.000
9.055 1.940 0.000
-6.433 0.000 9.576
Tb Pu Br N
2 2 6 2
direct
0.077 0.077 0.459
0.923 0.923 0.541
0.366 0.366 0.216
0.634 0.634 0.784
0.165 0.165 0.010
0.282 0.282 0.382
0.457 0.457 0.751
0.543 0.543 0.249
0.718 0.718 0.618
0.835 0.835 0.990
0.075 0.075 0.655
0.925 0.925 0.345
```

Peak list (8 most intense, 2θ = 10–80°, in order of rising 2θ)
| two_theta | I (rel.) |
| --- | --- |
| 10.1 | 100 |
| 26.7 | 39 |
| 28.1 | 36 |
| 31.2 | 22 |
| 31.5 | 31 |
| 32.3 | 39 |
| 42.3 | 21 |
| 43.1 | 21 |


Structure and simulated X-ray diffraction stick pattern of Zn2SnBrN4 (the PBE geometry in OQMD; CuKα).
Peak positions follow from Bragg's law for the DFT cell and can differ from measured ones.

Structural model:
```
Zn2SnBrN4
1.0
-2.438 2.438 4.848
2.438 -2.438 4.848
2.438 2.438 -4.848
Zn Sn Br N
2 1 1 4
direct
0.000 0.000 0.000
0.750 0.250 0.500
0.500 0.500 0.000
0.250 0.750 0.500
0.097 0.606 0.933
0.394 0.327 0.491
0.673 0.164 0.067
0.836 0.903 0.509
```

Peak list (8 most intense, 2θ = 10–80°, in order of rising 2θ)
| two_theta | I (rel.) |
| --- | --- |
| 31.8 | 100 |
| 36.9 | 24 |
| 37.1 | 12 |
| 53.1 | 14 |
| 53.3 | 28 |
| 63.3 | 27 |
| 63.6 | 13 |
| 66.6 | 9 |


Structure and simulated X-ray diffraction stick pattern of Na2OsBr6 (the PBE geometry in OQMD; CuKα).
Peak positions follow from Bragg's law for the DFT cell and can differ from measured ones.

Structural model:
```
Na2OsBr6
1.0
-3.582 3.582 5.076
3.582 -3.582 5.076
3.582 3.582 -5.076
Na Os Br
2 1 6
direct
0.250 0.750 0.500
0.750 0.250 0.500
0.000 0.000 0.000
0.169 0.694 0.863
0.246 0.246 0.000
0.306 0.169 0.475
0.694 0.831 0.525
0.754 0.754 0.000
0.831 0.306 0.137
```

Peak list (8 most intense, 2θ = 10–80°, in order of rising 2θ)
| two_theta | I (rel.) |
| --- | --- |
| 15.1 | 100 |
| 17.5 | 84 |
| 29.2 | 88 |
| 35.4 | 75 |
| 38.7 | 37 |
| 39.8 | 52 |
| 50.9 | 33 |
| 53.5 | 45 |


Structure and simulated X-ray diffraction stick pattern of NaTc12Br25 (the PBE geometry in OQMD; CuKα).
Peak positions follow from Bragg's law for the DFT cell and can differ from measured ones.

Structural model:
```
NaTc12Br25
1.0
9.780 0.000 0.000
0.425 10.876 0.000
3.093 1.055 11.065
Na Tc Br
1 12 25
direct
0.000 0.000 0.000
0.253 0.119 0.280
0.268 0.295 0.427
0.327 0.254 0.123
0.345 0.428 0.267
0.433 0.726 0.808
0.490 0.142 0.353
0.510 0.858 0.647
0.567 0.274 0.192
0.655 0.572 0.733
0.673 0.746 0.877
0.732 0.705 0.573
0.747 0.881 0.720
0.039 0.217 0.409
0.096 0.963 0.234
0.134 0.405 0.602
0.146 0.423 0.168
0.167 0.741 0.883
0.229 0.207 0.949
0.273 0.642 0.317
0.299 0.969 0.594
0.409 0.531 0.719
0.441 0.840 0.982
0.442 0.957 0.260
0.471 0.276 0.520
0.500 0.500 0.000
0.529 0.724 0.480
0.558 0.043 0.740
0.559 0.160 0.018
0.591 0.469 0.281
0.701 0.031 0.406
0.727 0.358 0.683
0.771 0.793 0.051
0.833 0.259 0.117
0.854 0.577 0.832
0.866 0.595 0.398
0.904 0.037 0.766
0.961 0.783 0.591
```

Peak list (8 most intense, 2θ = 10–80°, in order of rising 2θ)
| two_theta | I (rel.) |
| --- | --- |
| 10.6 | 56 |
| 10.9 | 100 |
| 12.0 | 81 |
| 12.8 | 33 |
| 13.9 | 36 |
| 24.1 | 68 |
| 39.2 | 29 |
| 39.4 | 37 |


Structure and simulated X-ray diffraction stick pattern of Na2ThBr6 (the PBE geometry in OQMD; CuKα).
Peak positions follow from Bragg's law for the DFT cell and can differ from measured ones.

Structural model:
```
Na2ThBr6
1.0
6.981 0.000 0.000
0.000 6.981 0.000
0.000 0.000 13.156
Na Th Br
4 2 12
direct
0.000 0.000 0.166
0.000 0.000 0.834
0.500 0.500 0.334
0.500 0.500 0.666
0.000 0.000 0.500
0.500 0.500 0.000
0.196 0.196 0.341
0.196 0.196 0.659
0.211 0.211 0.000
0.289 0.711 0.500
0.304 0.696 0.159
0.304 0.696 0.841
0.696 0.304 0.159
0.696 0.304 0.841
0.711 0.289 0.500
0.789 0.789 0.000
0.804 0.804 0.341
0.804 0.804 0.659
```

Peak list (8 most intense, 2θ = 10–80°, in order of rising 2θ)
| two_theta | I (rel.) |
| --- | --- |
| 13.5 | 31 |
| 14.4 | 98 |
| 18.0 | 66 |
| 27.2 | 100 |
| 28.6 | 32 |
| 35.3 | 75 |
| 36.4 | 49 |
| 44.1 | 57 |


Structure and simulated X-ray diffraction stick pattern of RbNb4BrO5 (the PBE geometry in OQMD; CuKα).
Peak positions follow from Bragg's law for the DFT cell and can differ from measured ones.

Structural model:
```
RbNb4BrO5
1.0
4.236 0.000 0.000
0.000 4.236 0.000
0.000 0.000 9.446
Rb Nb Br O
1 4 1 5
direct
0.000 0.000 0.000
0.000 0.500 0.500
0.500 0.000 0.500
0.500 0.500 0.289
0.500 0.500 0.711
0.500 0.500 0.000
0.000 0.000 0.500
0.000 0.500 0.278
0.000 0.500 0.722
0.500 0.000 0.278
0.500 0.000 0.722
```

Peak list (8 most intense, 2θ = 10–80°, in order of rising 2θ)
| two_theta | I (rel.) |
| --- | --- |
| 21.0 | 42 |
| 28.3 | 55 |
| 31.3 | 100 |
| 38.1 | 43 |
| 41.6 | 92 |
| 42.7 | 87 |
| 58.6 | 51 |
| 77.4 | 30 |